Calculated powder diffraction line list
Compound: K3Mn4O8
Radiation: Cu Kα X-rays
Structure: a DFT-relaxed cell (GGA+U, Alexandria)
Lines closer than 0.1° are merged.

Atomic structure:
```
60
Lattice="6.3790 0.0000 0.0000 0.8682 10.3108 0.0000 1.0430 4.2120 12.4943" Properties=species:S:1:pos:R:3 pbc="T T T"
K 0.0000 0.0000 0.0000
K 0.5474 2.2388 6.2202
K 0.9074 5.8203 6.2310
K 0.5699 3.5264 0.0051
K 2.7776 8.8273 6.2849
K 2.2776 6.6777 0.0042
K 3.6860 2.3139 6.2005
K 4.2287 4.2238 12.4701
K 4.1365 5.7463 6.2434
K 4.7820 7.6825 12.4629
K 5.9622 9.5168 6.2276
K 5.4595 6.6901 0.0155
Mn 1.1797 7.6842 9.3339
Mn 0.7110 5.5022 3.0535
Mn 1.1500 10.6592 3.1864
Mn 1.7219 12.8573 9.4417
Mn 2.5625 5.1071 9.3553
Mn 3.0675 10.2633 9.3816
Mn 2.5415 8.0819 3.1304
Mn 2.1137 2.9263 3.1419
Mn 4.3494 7.6850 9.3043
Mn 4.3280 10.6565 3.1746
Mn 4.8653 12.8379 9.3816
Mn 3.9046 5.5053 3.0509
Mn 5.7217 5.0994 9.3145
Mn 5.6844 8.0833 3.0860
Mn 5.2560 2.9230 3.0741
Mn 6.2421 10.2693 9.3693
O 0.9575 4.2422 8.4283
O 1.2133 6.0133 10.4325
O 1.1576 8.9925 4.1856
O 0.7339 3.8858 4.1447
O 1.7089 11.2335 10.4331
O 2.5030 6.6984 8.2325
O 2.7152 9.8478 2.2169
O 3.2497 12.0313 8.4471
O 2.9915 11.6009 4.2691
O 2.2920 4.6683 2.0907
O 3.5244 13.8068 10.4665
O 3.0927 8.6315 10.4650
O 2.5750 6.4234 4.1721
O 3.8955 4.1320 8.2810
O 4.1664 5.9353 10.2810
O 3.4082 1.9357 2.0726
O 3.8538 7.1448 2.0274
O 4.3930 9.3418 8.3013
O 4.3798 9.0204 4.1990
O 3.9603 3.9119 4.1405
O 4.9247 11.2580 10.4479
O 5.7159 6.7123 8.2545
O 5.6585 9.7465 2.0646
O 6.1861 11.9304 8.2689
O 5.2422 4.5663 1.9410
O 5.9473 11.4975 4.1360
O 5.5133 6.3117 4.0062
O 6.4829 13.6993 10.3097
O 6.2707 8.6225 10.4639
O 6.6299 1.9540 2.0856
O 7.6032 9.3591 8.3024
O 7.0827 7.1691 2.0479
```

Peak list (6 most intense, 15° ≤ 2θ ≤ 90°, sorted by position)
Position (°2θ)  I (rel.)
28.6  94
32.7  55
38.5  100
42.5  63
43.9  44
59.2  43